Theoretical powder diffraction line list of Ag2Pb4I9 for Cu Kα (weighted mean of Kα1 and Kα2), from a GGA-PBE-relaxed structure.

Structure:
```
Ag2Pb4I9
1.0
7.7247 0.0000 0.0000
3.8206 7.0508 0.0000
3.4472 1.0005 23.8841
Ag Pb I
4 8 18
Direct
0.2271 0.3770 0.3667
0.2613 0.4959 0.1961
0.7387 0.5041 0.8039
0.7729 0.6230 0.6333
0.0169 0.1561 0.1687
0.1787 0.1701 0.9912
0.2420 0.8427 0.4967
0.4088 0.2470 0.6779
0.5912 0.7530 0.3221
0.7580 0.1573 0.5033
0.8213 0.8299 0.0088
0.9831 0.8439 0.8313
0.0814 0.1652 0.7725
0.1373 0.4644 0.0874
0.1590 0.5612 0.5869
0.2000 0.7384 0.3753
0.2213 0.8015 0.9363
0.2666 0.1733 0.2636
0.3850 0.5137 0.7788
0.4168 0.8632 0.0826
0.4815 0.9562 0.5849
0.5185 0.0438 0.4151
0.5832 0.1368 0.9174
0.6150 0.4863 0.2212
0.7334 0.8267 0.7364
0.7787 0.1985 0.0637
0.8000 0.2616 0.6247
0.8410 0.4388 0.4131
0.8627 0.5356 0.9126
0.9186 0.8348 0.2275
```

Largest 10 diffraction maxima, sorted by position, 2θ = 10–80°:
| two_theta | I (rel.) |
| --- | --- |
| 14.86 | 56 |
| 16.03 | 56 |
| 23.61 | 60 |
| 24.33 | 96 |
| 25.48 | 51 |
| 29.52 | 100 |
| 30.78 | 61 |
| 32.62 | 62 |
| 38.34 | 56 |
| 40.42 | 85 |

Theoretical powder diffraction line list of Ag3Sn3S8 for Cu Kα (weighted mean of Kα1 and Kα2), from a GGA-PBE-relaxed structure.

Structure:
```
Ag3Sn3S8
1.0
3.8354 2.2144 6.3020
-3.8354 2.2144 6.3020
0.0000 -4.4287 6.3020
Ag Sn S
3 3 8
Direct
0.0000 0.0000 0.0000
0.3858 0.3858 0.3858
0.6142 0.6142 0.6142
0.0000 0.0000 0.5000
0.0000 0.5000 0.0000
0.5000 0.0000 0.0000
0.2173 0.7574 0.7574
0.2426 0.2426 0.7827
0.2426 0.7827 0.2426
0.2453 0.2453 0.2453
0.7547 0.7547 0.7547
0.7574 0.2173 0.7574
0.7574 0.7574 0.2173
0.7827 0.2426 0.2426
```

Largest 10 diffraction maxima, sorted by position, 2θ = 10–80°:
| two_theta | I (rel.) |
| --- | --- |
| 14.09 | 17 |
| 23.14 | 36 |
| 27.19 | 100 |
| 27.26 | 39 |
| 32.96 | 38 |
| 43.23 | 40 |
| 43.31 | 18 |
| 47.20 | 42 |
| 47.41 | 45 |
| 55.50 | 17 |

Theoretical powder diffraction line list of Mg6ZnPd for Cu Kα (weighted mean of Kα1 and Kα2), from a GGA-PBE-relaxed structure.

Structure:
```
Mg6ZnPd
1.0
-2.3432 2.3432 7.1403
2.3432 -2.3432 7.1403
2.3432 2.3432 -7.1403
Mg Zn Pd
6 1 1
Direct
0.1069 0.6069 0.5000
0.2470 0.2470 0.0000
0.3931 0.8931 0.5000
0.6069 0.1069 0.5000
0.7530 0.7530 0.0000
0.8931 0.3931 0.5000
0.5000 0.5000 0.0000
0.0000 0.0000 0.0000
```

Largest 10 diffraction maxima, sorted by position, 2θ = 10–80°:
| two_theta | I (rel.) |
| --- | --- |
| 12.40 | 77 |
| 26.91 | 18 |
| 29.72 | 19 |
| 37.01 | 100 |
| 38.42 | 48 |
| 40.52 | 17 |
| 47.01 | 18 |
| 55.46 | 16 |
| 65.76 | 14 |
| 68.56 | 30 |

Theoretical powder diffraction line list of RbNaMg6O7 for Cu Kα (weighted mean of Kα1 and Kα2), from a GGA-PBE-relaxed structure.

Structure:
```
RbNaMg6O7
1.0
4.2529 0.0000 0.0000
0.0000 4.2529 0.0000
0.0000 0.0000 11.7081
Rb Na Mg O
1 1 6 7
Direct
0.0000 0.0000 0.0000
0.5000 0.5000 0.0999
0.0000 0.0000 0.5072
0.0000 0.5000 0.3004
0.0000 0.5000 0.6941
0.5000 0.0000 0.3004
0.5000 0.0000 0.6941
0.5000 0.5000 0.5220
0.0000 0.0000 0.3370
0.0000 0.0000 0.7050
0.0000 0.5000 0.1383
0.0000 0.5000 0.5150
0.5000 0.0000 0.1383
0.5000 0.0000 0.5150
0.5000 0.5000 0.7025
```

Largest 10 diffraction maxima, sorted by position, 2θ = 10–80°:
| two_theta | I (rel.) |
| --- | --- |
| 15.13 | 49 |
| 20.89 | 30 |
| 22.24 | 26 |
| 25.89 | 39 |
| 30.69 | 28 |
| 31.10 | 41 |
| 33.50 | 74 |
| 37.29 | 21 |
| 42.51 | 100 |
| 61.69 | 29 |

Theoretical powder diffraction line list of CaPr5Y2 for Cu Kα (weighted mean of Kα1 and Kα2), from a GGA-PBE-relaxed structure.

Structure:
```
CaPr5Y2
1.0
6.6117 -8.2306 0.0000
6.6117 8.2306 0.0000
-2.8128 0.0000 5.4193
Ca Pr Y
2 10 4
Direct
0.1544 0.8456 0.7500
0.8456 0.1544 0.2500
0.1168 0.2244 0.9206
0.1691 0.4587 0.5640
0.2244 0.1168 0.4206
0.3005 0.6995 0.2500
0.4587 0.1691 0.0640
0.5413 0.8309 0.9360
0.6995 0.3005 0.7500
0.7756 0.8832 0.5794
0.8309 0.5413 0.4360
0.8832 0.7756 0.0794
0.0000 0.5000 0.0000
0.5000 0.0000 0.5000
0.5000 0.5000 0.0000
0.5000 0.5000 0.5000
```

Largest 10 diffraction maxima, sorted by position, 2θ = 10–80°:
| two_theta | I (rel.) |
| --- | --- |
| 27.21 | 16 |
| 28.01 | 21 |
| 29.22 | 100 |
| 30.86 | 46 |
| 34.50 | 39 |
| 44.20 | 11 |
| 51.88 | 18 |
| 52.89 | 10 |
| 54.54 | 10 |
| 54.58 | 10 |

Theoretical powder diffraction line list of BaSrAu10 for Cu Kα (weighted mean of Kα1 and Kα2), from a GGA-PBE-relaxed structure.

Structure:
```
BaSrAu10
1.0
4.6048 0.0000 0.0000
0.0000 5.8345 0.0000
0.0000 0.0000 10.0664
Ba Sr Au
1 1 10
Direct
0.0000 0.0000 0.0000
0.0000 0.5000 0.5000
0.0000 0.0000 0.3383
0.0000 0.0000 0.6617
0.0000 0.5000 0.1733
0.0000 0.5000 0.8267
0.5000 0.0000 0.5000
0.5000 0.2510 0.2527
0.5000 0.2510 0.7473
0.5000 0.5000 0.0000
0.5000 0.7490 0.2527
0.5000 0.7490 0.7473
```

Largest 10 diffraction maxima, sorted by position, 2θ = 10–80°:
| two_theta | I (rel.) |
| --- | --- |
| 17.59 | 48 |
| 35.57 | 18 |
| 36.51 | 100 |
| 39.12 | 34 |
| 40.80 | 70 |
| 53.93 | 17 |
| 58.39 | 17 |
| 64.02 | 16 |
| 69.18 | 18 |
| 77.65 | 19 |